No. 1
# Sc5Ni3
Simulated powder diffractogram, Cu Kα, 1.54184 Å. Input: the PBE geometry in Alexandria.

Atomic structure:
Cell lengths 10.136, 10.136, 5.758 Å; angles 90.00, 90.00, 90.00 degrees
Atoms (fractional coordinates):
Sc  0.041  0.163  0.132
Sc  0.041  0.337  0.632
Sc  0.163  0.041  0.632
Sc  0.163  0.459  0.132
Sc  0.250  0.750  0.000
Sc  0.250  0.750  0.500
Sc  0.337  0.041  0.132
Sc  0.337  0.459  0.632
Sc  0.459  0.163  0.632
Sc  0.459  0.337  0.132
Sc  0.541  0.663  0.868
Sc  0.541  0.837  0.368
Sc  0.663  0.541  0.368
Sc  0.663  0.959  0.868
Sc  0.750  0.250  0.000
Sc  0.750  0.250  0.500
Sc  0.837  0.541  0.868
Sc  0.837  0.959  0.368
Sc  0.959  0.663  0.368
Sc  0.959  0.837  0.868
Ni  0.094  0.594  0.750
Ni  0.094  0.906  0.250
Ni  0.250  0.250  0.383
Ni  0.250  0.250  0.883
Ni  0.406  0.594  0.250
Ni  0.406  0.906  0.750
Ni  0.594  0.094  0.250
Ni  0.594  0.406  0.750
Ni  0.750  0.750  0.117
Ni  0.750  0.750  0.617
Ni  0.906  0.094  0.750
Ni  0.906  0.406  0.250

Peak list (10 most intense, 5 to 70 degrees two-theta, most intense first)
2θ 39.87, intensity 100; 2θ 39.77, intensity 91; 2θ 36.99, intensity 74; 2θ 35.54, intensity 56; 2θ 25.00, intensity 52; 2θ 31.96, intensity 50; 2θ 42.19, intensity 37; 2θ 51.03, intensity 36; 2θ 41.20, intensity 32; 2θ 51.72, intensity 32

***

No. 2
# TmPu
Simulated powder diffractogram, Cu Kα, 1.54184 Å. Input: the PBE geometry in Alexandria.

Atomic structure:
Cell lengths 3.178, 3.586, 8.593 Å; angles 90.00, 92.36, 90.00 degrees
Atoms (fractional coordinates):
Tm  0.240  0.250  0.347
Tm  0.760  0.750  0.653
Pu  0.354  0.250  0.932
Pu  0.646  0.750  0.068

Peak list (10 most intense, 5 to 70 degrees two-theta, most intense first)
2θ 32.54, intensity 100; 2θ 10.30, intensity 83; 2θ 37.84, intensity 75; 2θ 34.43, intensity 60; 2θ 50.67, intensity 33; 2θ 31.26, intensity 26; 2θ 59.71, intensity 22; 2θ 62.93, intensity 22; 2θ 50.93, intensity 21; 2θ 30.41, intensity 21

***

No. 3
# La7Pr12Cd
Simulated powder diffractogram, Cu Kα, 1.54184 Å. Input: the PBE geometry in Alexandria.

Atomic structure:
Cell lengths 9.073, 9.073, 9.073 Å; angles 99.64, 99.64, 99.64 degrees
Atoms (fractional coordinates):
La  0.000  0.000  0.000
La  0.091  0.360  0.360
La  0.360  0.091  0.360
La  0.360  0.360  0.091
La  0.640  0.640  0.909
La  0.640  0.909  0.640
La  0.909  0.640  0.640
Pr  0.093  0.093  0.661
Pr  0.093  0.661  0.093
Pr  0.244  0.500  0.756
Pr  0.244  0.756  0.500
Pr  0.339  0.907  0.907
Pr  0.500  0.244  0.756
Pr  0.500  0.756  0.244
Pr  0.661  0.093  0.093
Pr  0.756  0.244  0.500
Pr  0.756  0.500  0.244
Pr  0.907  0.339  0.907
Pr  0.907  0.907  0.339
Cd  0.500  0.500  0.500

Peak list (10 most intense, 5 to 70 degrees two-theta, most intense first)
2θ 30.60, intensity 100; 2θ 30.25, intensity 42; 2θ 28.84, intensity 29; 2θ 32.95, intensity 23; 2θ 33.28, intensity 21; 2θ 48.28, intensity 18; 2θ 54.61, intensity 16; 2θ 55.47, intensity 16; 2θ 52.83, intensity 14; 2θ 62.30, intensity 10

***

No. 4
# MgAlCu2S4
Simulated powder diffractogram, Cu Kα, 1.54184 Å. Input: the PBE geometry in Alexandria.

Atomic structure:
Cell lengths 5.409, 5.409, 10.734 Å; angles 90.00, 90.00, 90.00 degrees
Atoms (fractional coordinates):
Mg  0.000  0.000  0.000
Mg  0.500  0.500  0.500
Al  0.000  0.000  0.500
Al  0.500  0.500  0.000
Cu  0.000  0.500  0.250
Cu  0.000  0.500  0.750
Cu  0.500  0.000  0.250
Cu  0.500  0.000  0.750
S  0.236  0.236  0.371
S  0.236  0.764  0.629
S  0.264  0.264  0.871
S  0.264  0.736  0.129
S  0.736  0.264  0.129
S  0.736  0.736  0.871
S  0.764  0.236  0.629
S  0.764  0.764  0.371

Peak list (10 most intense, 5 to 70 degrees two-theta, most intense first)
2θ 28.66, intensity 100; 2θ 47.74, intensity 42; 2θ 56.46, intensity 26; 2θ 47.55, intensity 21; 2θ 16.52, intensity 14; 2θ 56.82, intensity 13; 2θ 23.26, intensity 11; 2θ 69.51, intensity 6; 2θ 37.23, intensity 6; 2θ 41.09, intensity 5